Structure and theoretical XRD peak list of LiFeF6 (a cell relaxed with PBE+U; λ = 1.5418 Å (Cu Kα)).
Peak positions follow from Bragg's law for the DFT cell and can differ from measured ones.

Principal peaks in the range 2θ from 15° to 90°, by angle:
(0 0 2), 2θ = 20.56°, rel. 29.8
(1 0 1), 2θ = 21.22°, rel. 100.0
(1 1 0), 2θ = 26.34°, rel. 33.8
(1 1 2), 2θ = 33.65°, rel. 17.2
(1 1 3), 2θ = 41.16°, rel. 31.7
(2 1 3), 2θ = 53.34°, rel. 21.0

Atomic structure:
abc: 4.7855 4.7855 8.6379
angles: 90.00 90.00 90.00
Element x y z (fractional)
Li1 0.0000 0.0000 0.0000
Li2 0.5000 0.5000 0.5000
Fe1 0.0000 0.0000 0.6474
Fe2 0.5000 0.5000 0.1474
F1 0.1805 0.1805 0.7995
F2 0.1898 0.1898 0.5029
F3 0.2352 0.2352 0.1469
F4 0.2648 0.7352 0.6469
F5 0.3102 0.6898 0.0029
F6 0.3195 0.6805 0.2995
F7 0.6805 0.3195 0.2995
F8 0.6898 0.3102 0.0029
F9 0.7352 0.2648 0.6469
F10 0.7648 0.7648 0.1469
F11 0.8102 0.8102 0.5029
F12 0.8195 0.8195 0.7995